1.
Structure and simulated powder diffraction line list of NaPm2AgO5 (a cell relaxed with PBE; CuKα).
Kinematic intensities with the Lorentz-polarization factor, no thermal factor.

Structural model:
Unit cell a=6.7373 b=6.7373 c=5.9329 alpha=90.00 beta=90.00 gamma=90.00
Atoms (fractional coordinates):
Na1 0.0000 0.0000 0.0000
Na2 0.5000 0.5000 0.0000
Pm1 0.1764 0.3236 0.5000
Pm2 0.3236 0.8236 0.5000
Pm3 0.6764 0.1764 0.5000
Pm4 0.8236 0.6764 0.5000
Ag1 0.0000 0.5000 0.0000
Ag2 0.5000 0.0000 0.0000
O1 0.0000 0.0000 0.5000
O2 0.1371 0.6371 0.2551
O3 0.1371 0.6371 0.7449
O4 0.3629 0.1371 0.2551
O5 0.3629 0.1371 0.7449
O6 0.5000 0.5000 0.5000
O7 0.6371 0.8629 0.2551
O8 0.6371 0.8629 0.7449
O9 0.8629 0.3629 0.2551
O10 0.8629 0.3629 0.7449

The 8 most intense peaks (15° ≤ 2θ ≤ 90°), sorted by position:
2θ/deg  I/Imax
18.63  48.3
29.65  30.2
30.13  42.0
30.52  100.0
33.35  77.3
42.78  59.1
45.22  41.2
58.60  22.6

---

2.
Structure and simulated powder diffraction line list of Pr4DyHo4 (a cell relaxed with PBE; CuKα).
Kinematic intensities with the Lorentz-polarization factor, no thermal factor.

Structural model:
Unit cell a=8.0795 b=8.0795 c=8.0795 alpha=95.70 beta=95.70 gamma=143.27
Atoms (fractional coordinates):
Pr1 0.1667 0.1667 0.3334
Pr2 0.1667 0.8333 0.0000
Pr3 0.8333 0.1667 0.0000
Pr4 0.8333 0.8333 0.6666
Dy1 0.5000 0.5000 0.0000
Ho1 0.1644 0.5000 0.6644
Ho2 0.5000 0.1644 0.6644
Ho3 0.5000 0.8356 0.3356
Ho4 0.8356 0.5000 0.3356

The 8 most intense peaks (15° ≤ 2θ ≤ 90°), sorted by position:
2θ/deg  I/Imax
30.33  100.0
35.11  33.9
35.26  16.8
50.50  12.1
50.61  24.1
60.05  28.8
60.25  14.3
63.08  12.4

---

3.
Structure and simulated powder diffraction line list of Pm2Pr3Cd6 (a cell relaxed with PBE; CuKα).
Kinematic intensities with the Lorentz-polarization factor, no thermal factor.

Structural model:
Unit cell a=19.9383 b=19.9383 c=19.9383 alpha=168.05 beta=168.05 gamma=16.94
Atoms (fractional coordinates):
Pm1 0.1323 0.1323 0.0000
Pm2 0.8677 0.8677 0.0000
Pr1 0.3117 0.3117 0.0000
Pr2 0.5000 0.5000 0.0000
Pr3 0.6883 0.6883 0.0000
Cd1 0.0660 0.5660 0.5000
Cd2 0.2276 0.2276 0.0000
Cd3 0.4340 0.9340 0.5000
Cd4 0.5660 0.0660 0.5000
Cd5 0.7724 0.7724 0.0000
Cd6 0.9340 0.4340 0.5000

The 8 most intense peaks (15° ≤ 2θ ≤ 90°), sorted by position:
2θ/deg  I/Imax
24.22  45.5
30.79  56.0
33.01  100.0
33.43  46.1
35.59  46.3
43.60  55.1
55.75  44.3
60.51  31.2

---

4.
Structure and simulated powder diffraction line list of CeDy14Mg (a cell relaxed with PBE; CuKα).
Kinematic intensities with the Lorentz-polarization factor, no thermal factor.

Structural model:
Unit cell a=11.3914 b=7.0759 c=7.0759 alpha=60.21 beta=90.00 gamma=90.00
Atoms (fractional coordinates):
Ce1 0.0000 0.0000 0.0000
Dy1 0.0000 0.4904 0.9965
Dy2 0.0000 0.9965 0.4904
Dy3 0.2473 0.1589 0.6633
Dy4 0.2469 0.6604 0.6604
Dy5 0.2473 0.6633 0.1589
Dy6 0.2531 0.1595 0.1595
Dy7 0.5000 0.3294 0.3294
Dy8 0.5000 0.3304 0.8261
Dy9 0.5000 0.8261 0.3304
Dy10 0.5000 0.8291 0.8291
Dy11 0.7469 0.1595 0.1595
Dy12 0.7527 0.1589 0.6633
Dy13 0.7531 0.6604 0.6604
Dy14 0.7527 0.6633 0.1589
Mg1 0.0000 0.4933 0.4933

The 8 most intense peaks (15° ≤ 2θ ≤ 90°), sorted by position:
2θ/deg  I/Imax
29.12  11.0
30.18  36.0
31.41  32.6
33.17  100.0
37.70  19.7
51.67  16.2
57.05  21.2
61.73  18.9

---

5.
Structure and simulated powder diffraction line list of KTi2Se3 (a cell relaxed with PBE; CuKα).
Kinematic intensities with the Lorentz-polarization factor, no thermal factor.

Structural model:
Unit cell a=7.9325 b=7.9325 c=9.8655 alpha=90.00 beta=90.00 gamma=151.79
Atoms (fractional coordinates):
K1 0.2456 0.7544 0.7500
K2 0.7544 0.2456 0.2500
Ti1 0.0000 0.0000 0.0000
Ti2 0.0000 0.0000 0.5000
Ti3 0.4777 0.5223 0.2500
Ti4 0.5223 0.4777 0.7500
Se1 0.0777 0.9223 0.2500
Se2 0.3840 0.6160 0.0494
Se3 0.3840 0.6160 0.4506
Se4 0.6160 0.3840 0.5494
Se5 0.6160 0.3840 0.9506
Se6 0.9223 0.0777 0.7500

The 8 most intense peaks (15° ≤ 2θ ≤ 90°), sorted by position:
2θ/deg  I/Imax
29.51  80.9
30.34  100.0
34.26  57.7
36.40  45.9
41.74  80.5
47.00  30.8
55.26  44.4
56.48  24.8

---

6.
Structure and simulated powder diffraction line list of KDy4TmSe8 (a cell relaxed with PBE; CuKα).
Kinematic intensities with the Lorentz-polarization factor, no thermal factor.

Structural model:
Unit cell a=8.5402 b=8.5402 c=8.5402 alpha=60.33 beta=60.33 gamma=60.33
Atoms (fractional coordinates):
K1 0.0000 0.0000 0.0000
Dy1 0.1086 0.6284 0.6284
Dy2 0.2481 0.2481 0.2481
Dy3 0.6284 0.1086 0.6284
Dy4 0.6284 0.6284 0.1086
Tm1 0.6282 0.6282 0.6282
Se1 0.3810 0.3810 0.3810
Se2 0.3826 0.3826 0.8497
Se3 0.3826 0.8497 0.3826
Se4 0.4204 0.8559 0.8559
Se5 0.8497 0.3826 0.3826
Se6 0.8559 0.4204 0.8559
Se7 0.8559 0.8559 0.4204
Se8 0.8586 0.8586 0.8586

The 8 most intense peaks (15° ≤ 2θ ≤ 90°), sorted by position:
2θ/deg  I/Imax
24.36  85.4
24.46  29.3
29.51  100.0
38.61  58.9
42.11  68.5
42.33  68.4
61.25  20.5
77.12  19.2

---

7.
Structure and simulated powder diffraction line list of Ti2Nb2Ni2C (a cell relaxed with PBE; CuKα).
Kinematic intensities with the Lorentz-polarization factor, no thermal factor.

Structural model:
Unit cell a=8.1714 b=8.1714 c=8.1714 alpha=119.71 beta=119.71 gamma=90.51
Atoms (fractional coordinates):
Ti1 0.3129 0.3129 0.6258
Ti2 0.3129 0.6871 0.0000
Ti3 0.3757 0.1325 0.2432
Ti4 0.6871 0.3129 0.0000
Ti5 0.6871 0.6871 0.3742
Ti6 0.8675 0.1107 0.2432
Ti7 0.8675 0.6243 0.7568
Ti8 0.8893 0.1325 0.7568
Nb1 0.0610 0.5610 0.5000
Nb2 0.0690 0.5690 0.1381
Nb3 0.0690 0.9310 0.5000
Nb4 0.3224 0.3224 0.0000
Nb5 0.4310 0.5690 0.5000
Nb6 0.4310 0.9310 0.8619
Nb7 0.4390 0.9390 0.5000
Nb8 0.6776 0.6776 0.0000
Ni1 0.0755 0.2366 0.1611
Ni2 0.0755 0.9144 0.8389
Ni3 0.0856 0.9245 0.1611
Ni4 0.6620 0.0013 0.3393
Ni5 0.6620 0.3228 0.6607
Ni6 0.6772 0.3380 0.3393
Ni7 0.7634 0.9245 0.8389
Ni8 0.9987 0.3380 0.6607
C1 0.3697 0.6200 0.7497
C2 0.3800 0.1298 0.7497
C3 0.3800 0.6303 0.2503
C4 0.8702 0.6200 0.2503

The 8 most intense peaks (15° ≤ 2θ ≤ 90°), sorted by position:
2θ/deg  I/Imax
38.03  66.7
38.21  27.2
40.39  100.0
40.50  84.9
40.73  54.3
68.63  41.7
68.96  31.5
82.81  22.6

---

8.
Structure and simulated powder diffraction line list of SrNd2Si6 (a cell relaxed with PBE; CuKα).
Kinematic intensities with the Lorentz-polarization factor, no thermal factor.

Structural model:
Unit cell a=7.1882 b=7.1882 c=4.2762 alpha=90.00 beta=90.00 gamma=120.00
Atoms (fractional coordinates):
Sr1 0.0000 0.0000 0.0000
Nd1 0.3333 0.6667 0.0000
Nd2 0.6667 0.3333 0.0000
Si1 0.0000 0.3366 0.5000
Si2 0.0000 0.6634 0.5000
Si3 0.3366 0.0000 0.5000
Si4 0.3366 0.3366 0.5000
Si5 0.6634 0.0000 0.5000
Si6 0.6634 0.6634 0.5000

The 8 most intense peaks (15° ≤ 2θ ≤ 90°), sorted by position:
2θ/deg  I/Imax
24.77  38.7
32.54  100.0
42.27  11.2
43.62  30.7
49.61  12.2
55.46  21.5
62.36  21.0
73.09  19.1